[1]
Simulated powder diffraction line list of Rb3MoCl7 for λ = 1.5418 Å (Cu Kα), from a cell relaxed with PBE.
Kinematic intensities with the Lorentz-polarization factor, no thermal factor.

Principal peaks in the range 2θ from 5° to 70°, by angle:
2θ 10.1, I = 21.0; 2θ 20.3, I = 100.0; 2θ 21.9, I = 98.3; 2θ 25.1, I = 18.2; 2θ 30.0, I = 12.7; 2θ 33.8, I = 14.3; 2θ 34.2, I = 81.4; 2θ 37.7, I = 23.1; 2θ 38.7, I = 21.2; 2θ 40.6, I = 24.9; 2θ 41.2, I = 15.3; 2θ 43.2, I = 29.8

Crystal structure
Unit cell a=9.411 b=9.411 c=9.538 alpha=90.00 beta=90.00 gamma=111.42
Atoms (fractional coordinates):
Rb: 0.003 0.003 0.000
Rb: 0.041 0.495 0.250
Rb: 0.495 0.041 0.750
Rb: 0.505 0.959 0.250
Rb: 0.959 0.505 0.750
Rb: 0.997 0.997 0.500
Mo: 0.500 0.500 0.000
Mo: 0.500 0.500 0.500
Cl: 0.140 0.860 0.750
Cl: 0.146 0.854 0.250
Cl: 0.238 0.445 0.955
Cl: 0.239 0.445 0.545
Cl: 0.445 0.238 0.045
Cl: 0.445 0.239 0.455
Cl: 0.448 0.552 0.250
Cl: 0.552 0.448 0.750
Cl: 0.555 0.761 0.955
Cl: 0.555 0.762 0.545
Cl: 0.761 0.555 0.045
Cl: 0.762 0.555 0.455
Cl: 0.854 0.146 0.750
Cl: 0.860 0.140 0.250

=====

[2]
Simulated powder diffraction line list of LiTb2RuO6 for λ = 1.5418 Å (Cu Kα), from a cell relaxed with PBE.
Kinematic intensities with the Lorentz-polarization factor, no thermal factor.

Principal peaks in the range 2θ from 5° to 70°, by angle:
2θ 19.3, I = 36.6; 2θ 22.8, I = 44.3; 2θ 23.3, I = 33.6; 2θ 25.5, I = 33.0; 2θ 25.7, I = 32.2; 2θ 32.6, I = 100.0; 2θ 33.0, I = 99.4; 2θ 33.3, I = 41.5; 2θ 33.7, I = 51.1; 2θ 47.7, I = 52.4; 2θ 59.3, I = 31.3; 2θ 60.1, I = 42.2

Crystal structure
Unit cell a=5.320 b=5.753 c=9.235 alpha=90.00 beta=124.28 gamma=90.00
Atoms (fractional coordinates):
Li: 0.000 0.000 0.000
Li: 0.000 0.500 0.500
Tb: 0.226 0.079 0.748
Tb: 0.226 0.421 0.248
Tb: 0.774 0.579 0.752
Tb: 0.774 0.921 0.252
Ru: 0.500 0.000 0.500
Ru: 0.500 0.500 0.000
O: 0.141 0.181 0.445
O: 0.141 0.319 0.945
O: 0.263 0.706 0.437
O: 0.263 0.794 0.937
O: 0.374 0.043 0.256
O: 0.374 0.457 0.756
O: 0.626 0.543 0.244
O: 0.626 0.957 0.744
O: 0.737 0.206 0.063
O: 0.737 0.294 0.563
O: 0.859 0.681 0.055
O: 0.859 0.819 0.555

=====

[3]
Simulated powder diffraction line list of NpTaFe4 for λ = 1.5418 Å (Cu Kα), from a cell relaxed with PBE.
Kinematic intensities with the Lorentz-polarization factor, no thermal factor.

Principal peaks in the range 2θ from 5° to 70°, by angle:
2θ 21.6, I = 35.2; 2θ 24.2, I = 12.1; 2θ 30.7, I = 18.2; 2θ 37.8, I = 57.1; 2θ 39.5, I = 78.2; 2θ 44.0, I = 100.0; 2θ 45.4, I = 30.2; 2θ 55.8, I = 7.2; 2θ 60.6, I = 18.0; 2θ 63.9, I = 6.6; 2θ 68.3, I = 11.9; 2θ 69.4, I = 31.6

Crystal structure
Unit cell a=4.756 b=4.756 c=8.230 alpha=90.00 beta=90.00 gamma=120.00
Atoms (fractional coordinates):
Np: 0.333 0.667 0.047
Np: 0.667 0.333 0.953
Ta: 0.333 0.667 0.433
Ta: 0.667 0.333 0.567
Fe: 0.000 0.000 0.000
Fe: 0.000 0.000 0.500
Fe: 0.167 0.335 0.735
Fe: 0.167 0.833 0.735
Fe: 0.335 0.167 0.265
Fe: 0.665 0.833 0.735
Fe: 0.833 0.167 0.265
Fe: 0.833 0.665 0.265

=====

[4]
Simulated powder diffraction line list of Na4Tl2Au for λ = 1.5418 Å (Cu Kα), from a cell relaxed with PBE.
Kinematic intensities with the Lorentz-polarization factor, no thermal factor.

Principal peaks in the range 2θ from 5° to 70°, by angle:
2θ 16.5, I = 71.4; 2θ 20.0, I = 86.1; 2θ 20.6, I = 100.0; 2θ 21.1, I = 49.3; 2θ 28.4, I = 52.0; 2θ 34.8, I = 53.2; 2θ 35.2, I = 40.0; 2θ 35.6, I = 71.5; 2θ 36.0, I = 25.5; 2θ 36.2, I = 41.4; 2θ 37.6, I = 36.2; 2θ 38.1, I = 32.1

Crystal structure
Unit cell a=6.291 b=7.785 c=9.466 alpha=74.90 beta=71.58 gamma=67.29
Atoms (fractional coordinates):
Na: 0.000 0.000 0.000
Na: 0.022 0.538 0.903
Na: 0.427 0.511 0.140
Na: 0.473 0.571 0.472
Na: 0.497 0.954 0.044
Na: 0.543 0.014 0.375
Na: 0.948 0.985 0.613
Na: 0.970 0.524 0.516
Tl: 0.324 0.193 0.692
Tl: 0.485 0.762 0.758
Tl: 0.646 0.331 0.823
Tl: 0.985 0.262 0.259
Au: 0.097 0.858 0.307
Au: 0.873 0.666 0.209

=====

[5]
Simulated powder diffraction line list of Li2PuRh2 for λ = 1.5418 Å (Cu Kα), from a cell relaxed with PBE.
Kinematic intensities with the Lorentz-polarization factor, no thermal factor.

Principal peaks in the range 2θ from 5° to 70°, by angle:
2θ 21.9, I = 100.0; 2θ 27.4, I = 24.1; 2θ 32.8, I = 69.1; 2θ 36.6, I = 38.3; 2θ 36.9, I = 32.4; 2θ 41.7, I = 55.7; 2θ 42.7, I = 18.4; 2θ 44.8, I = 35.4; 2θ 46.3, I = 12.0; 2θ 52.9, I = 23.2; 2θ 57.5, I = 15.5; 2θ 69.3, I = 13.5

Crystal structure
Unit cell a=4.504 b=4.504 c=4.439 alpha=103.85 beta=103.85 gamma=66.17
Atoms (fractional coordinates):
Li: 0.094 0.094 0.249
Li: 0.906 0.906 0.751
Pu: 0.500 0.500 0.500
Rh: 0.286 0.286 0.842
Rh: 0.714 0.714 0.158

=====

[6]
Simulated powder diffraction line list of Zr2In2As for λ = 1.5418 Å (Cu Kα), from a cell relaxed with PBE.
Kinematic intensities with the Lorentz-polarization factor, no thermal factor.

Principal peaks in the range 2θ from 5° to 70°, by angle:
2θ 17.8, I = 3.7; 2θ 26.1, I = 10.9; 2θ 34.3, I = 100.0; 2θ 36.0, I = 4.0; 2θ 38.5, I = 21.6; 2θ 40.5, I = 28.4; 2θ 51.9, I = 3.6; 2θ 55.3, I = 6.0; 2θ 57.1, I = 20.1; 2θ 57.4, I = 12.1; 2θ 67.0, I = 13.5; 2θ 69.4, I = 6.0

Crystal structure
Unit cell a=7.048 b=7.048 c=4.675 alpha=90.00 beta=90.00 gamma=90.00
Atoms (fractional coordinates):
Zr: 0.161 0.339 0.000
Zr: 0.339 0.839 0.000
Zr: 0.661 0.161 0.000
Zr: 0.839 0.661 0.000
In: 0.151 0.651 0.500
In: 0.349 0.151 0.500
In: 0.651 0.849 0.500
In: 0.849 0.349 0.500
As: 0.000 0.000 0.000
As: 0.500 0.500 0.000

=====

[7]
Simulated powder diffraction line list of CaMgC for λ = 1.5418 Å (Cu Kα), from a cell relaxed with PBE.
Kinematic intensities with the Lorentz-polarization factor, no thermal factor.

Principal peaks in the range 2θ from 5° to 70°, by angle:
2θ 9.1, I = 15.6; 2θ 25.8, I = 12.0; 2θ 27.4, I = 23.4; 2θ 30.4, I = 100.0; 2θ 34.4, I = 78.7; 2θ 36.8, I = 20.4; 2θ 44.5, I = 27.5; 2θ 49.4, I = 25.1; 2θ 51.3, I = 10.5; 2θ 53.0, I = 18.6; 2θ 59.1, I = 34.7; 2θ 63.2, I = 10.2

Crystal structure
Unit cell a=3.687 b=3.687 c=9.771 alpha=90.00 beta=90.00 gamma=90.00
Atoms (fractional coordinates):
Ca: 0.000 0.000 0.000
Ca: 0.500 0.500 0.324
Mg: 0.000 0.000 0.601
Mg: 0.500 0.500 0.775
C: 0.000 0.000 0.250
C: 0.000 0.000 0.383

=====

[8]
Simulated powder diffraction line list of NbPd4 for λ = 1.5418 Å (Cu Kα), from a cell relaxed with PBE.
Kinematic intensities with the Lorentz-polarization factor, no thermal factor.

Principal peaks in the range 2θ from 5° to 70°, by angle:
2θ 24.9, I = 21.8; 2θ 32.9, I = 22.3; 2θ 38.3, I = 29.3; 2θ 39.9, I = 44.0; 2θ 40.5, I = 100.0; 2θ 40.8, I = 41.7; 2θ 41.6, I = 33.8; 2θ 42.5, I = 23.4; 2θ 42.8, I = 27.2; 2θ 43.6, I = 31.4; 2θ 52.1, I = 14.7; 2θ 65.3, I = 19.2

Crystal structure
Unit cell a=4.647 b=4.647 c=4.558 alpha=107.35 beta=107.35 gamma=68.48
Atoms (fractional coordinates):
Nb: 0.000 0.000 0.000
Pd: 0.258 0.742 0.500
Pd: 0.314 0.314 0.889
Pd: 0.686 0.686 0.111
Pd: 0.742 0.258 0.500

=====

[9]
Simulated powder diffraction line list of LiAc3Sb3 for λ = 1.5418 Å (Cu Kα), from a cell relaxed with PBE.
Kinematic intensities with the Lorentz-polarization factor, no thermal factor.

Principal peaks in the range 2θ from 5° to 70°, by angle:
2θ 22.5, I = 21.3; 2θ 25.9, I = 45.1; 2θ 26.1, I = 100.0; 2θ 37.1, I = 72.1; 2θ 37.2, I = 39.0; 2θ 45.9, I = 37.3; 2θ 53.7, I = 13.2; 2θ 60.2, I = 11.9; 2θ 60.5, I = 15.1; 2θ 60.6, I = 17.0; 2θ 67.0, I = 11.3; 2θ 67.1, I = 11.5

Crystal structure
Unit cell a=10.804 b=10.804 c=13.667 alpha=90.00 beta=90.00 gamma=37.14
Atoms (fractional coordinates):
Li: 0.081 0.081 0.000
Li: 0.419 0.419 0.500
Li: 0.581 0.581 0.500
Li: 0.919 0.919 0.000
Ac: 0.050 0.607 0.369
Ac: 0.107 0.550 0.869
Ac: 0.207 0.793 0.640
Ac: 0.293 0.707 0.140
Ac: 0.393 0.950 0.369
Ac: 0.450 0.893 0.869
Ac: 0.550 0.107 0.131
Ac: 0.607 0.050 0.631
Ac: 0.707 0.293 0.860
Ac: 0.793 0.207 0.360
Ac: 0.893 0.450 0.131
Ac: 0.950 0.393 0.631
Sb: 0.065 0.607 0.120
Sb: 0.107 0.565 0.620
Sb: 0.224 0.776 0.884
Sb: 0.276 0.724 0.384
Sb: 0.393 0.935 0.120
Sb: 0.435 0.893 0.620
Sb: 0.565 0.107 0.380
Sb: 0.607 0.065 0.880
Sb: 0.724 0.276 0.616
Sb: 0.776 0.224 0.116
Sb: 0.893 0.435 0.380
Sb: 0.935 0.393 0.880

=====

[10]
Simulated powder diffraction line list of AcSmCuIr for λ = 1.5418 Å (Cu Kα), from a cell relaxed with PBE.
Kinematic intensities with the Lorentz-polarization factor, no thermal factor.

Principal peaks in the range 2θ from 5° to 70°, by angle:
2θ 19.8, I = 15.5; 2θ 30.8, I = 100.0; 2θ 32.6, I = 27.8; 2θ 32.9, I = 36.6; 2θ 38.4, I = 25.1; 2θ 38.7, I = 65.4; 2θ 40.3, I = 29.2; 2θ 44.7, I = 21.8; 2θ 52.7, I = 14.6; 2θ 53.0, I = 19.5; 2θ 61.7, I = 16.7; 2θ 63.5, I = 14.5

Crystal structure
Unit cell a=4.476 b=5.859 c=5.859 alpha=40.50 beta=90.00 gamma=90.00
Atoms (fractional coordinates):
Ac: 0.000 0.000 0.000
Sm: 0.500 0.724 0.724
Cu: 0.500 0.425 0.425
Ir: 0.000 0.279 0.279